Structure and calculated PXRD pattern of RbMg6BO7 (a DFT-relaxed cell (PBE, the Materials Project); a wavelength of 1.5418 Å).

a b c (Å): 4.567 4.567 8.780
angles (deg): 90.00 90.00 90.00
Space group P4mm (No. 99)
Symmetry-distinct sites (fractional):
Rb  0.000  0.000  0.000 x1
Mg  0.000  0.000  0.498 x1
Mg  0.000  0.500  0.234 x2
Mg  0.000  0.500  0.746 x2
Mg  0.500  0.500  0.482 x1
B  0.500  0.500  0.951 x1
O  0.000  0.000  0.278 x1
O  0.000  0.000  0.717 x1
O  0.000  0.500  0.503 x2
O  0.000  0.500  0.982 x2
O  0.500  0.500  0.794 x1

The 10 most intense peaks (5° ≤ 2θ ≤ 70°), most intense first:
(2 0 0), 2.284 Å, rel. 100.0
(2 0 4), 1.582 Å, rel. 47.2
(1 0 0), 4.567 Å, rel. 43.1
(1 1 2), 2.601 Å, rel. 42.0
(0 0 4), 2.195 Å, rel. 37.0
(1 0 1), 4.052 Å, rel. 33.0
(2 2 0), 1.615 Å, rel. 29.8
(0 0 1), 8.780 Å, rel. 25.8
(1 0 3), 2.464 Å, rel. 23.6
(1 0 2), 3.165 Å, rel. 16.5